Structure and calculated powder diffractogram of KMo2PbO8 (a structure optimized by DFT (PBE+U); Cu Kα (λ = 1.5418 Å)).
Lines closer than 0.1° are merged.

Crystal structure
a b c (Å): 6.327 6.327 6.857
angles (deg): 106.01 106.01 59.07
Positions (direct):
K1 0.000 0.000 0.000
Mo1 0.201 0.201 0.648
Mo2 0.799 0.799 0.352
Pb1 0.500 0.500 0.500
O1 0.104 0.632 0.272
O2 0.151 0.151 0.380
O3 0.368 0.896 0.728
O4 0.376 0.376 0.731
O5 0.624 0.624 0.269
O6 0.632 0.104 0.272
O7 0.849 0.849 0.620
O8 0.896 0.368 0.728

The 10 most intense peaks (10 to 80 degrees two-theta), by intensity:
Position (°2θ)	Rel. int.
13.62	100
23.17	74
28.77	64
29.39	36
28.62	34
27.34	30
31.82	24
40.01	23
34.52	21
50.82	21